Calculated powder diffraction line list
Compound: Sc5Pt
Radiation: Cu Kα, 1.54184 Å
Structure: the GGA-PBE geometry in Alexandria

Peak list (6 most intense, 2θ from 10° to 80°, sorted by position)
Position (°2θ)	d [Å]	intensity
14.75	6.006	36
27.71	3.220	23
34.97	2.566	100
38.08	2.363	44
40.38	2.234	22
66.81	1.400	28

Cell and atoms:
```
Sc5Pt
1.0
3.3419 0.0000 0.0000
0.0000 3.3419 0.0000
0.0000 0.0000 12.0111
Sc Pt
5 1
Direct
0.0000 0.0000 0.0000
0.0000 0.0000 0.3683
0.0000 0.0000 0.6317
0.5000 0.5000 0.1833
0.5000 0.5000 0.8167
0.5000 0.5000 0.5000
```

Calculated powder diffraction line list
Compound: ScPt5
Radiation: Cu Kα, 1.54184 Å
Structure: the GGA-PBE geometry in Alexandria

Peak list (6 most intense, 2θ from 10° to 80°, sorted by position)
Position (°2θ)	d [Å]	intensity
36.16	2.484	21
38.84	2.318	38
41.23	2.190	100
42.25	2.139	20
42.37	2.133	20
79.97	1.200	15

Cell and atoms:
```
ScPt5
1.0
5.2312 -1.4501 0.0000
5.2312 1.4501 0.0000
-1.8888 0.0000 6.3997
Sc Pt
1 5
Direct
0.0000 0.0000 0.0000
0.2811 0.2811 0.0610
0.3367 0.3367 0.6757
0.6132 0.6132 0.7290
0.6611 0.6611 0.3233
0.9482 0.9482 0.4005
```

Calculated powder diffraction line list
Compound: Sc2Pt5
Radiation: Cu Kα, 1.54184 Å
Structure: the GGA-PBE geometry in Alexandria

Peak list (6 most intense, 2θ from 10° to 80°, sorted by position)
Position (°2θ)	d [Å]	intensity
14.70	6.028	27
21.55	4.124	45
35.06	2.560	30
39.23	2.296	100
41.24	2.189	96
43.52	2.080	83

Cell and atoms:
```
Sc2Pt5
1.0
3.4595 -6.1401 0.0000
3.4595 6.1401 0.0000
0.0000 0.0000 5.6545
Sc Pt
4 10
Direct
0.0865 0.2850 0.0000
0.2850 0.0865 0.5000
0.7150 0.9135 0.5000
0.9135 0.7150 0.0000
0.0987 0.3409 0.5000
0.2666 0.7334 0.2500
0.2666 0.7334 0.7500
0.3409 0.0987 0.0000
0.5000 0.5000 0.2500
0.5000 0.5000 0.7500
0.6591 0.9013 0.0000
0.7334 0.2666 0.2500
0.7334 0.2666 0.7500
0.9013 0.6591 0.5000
```

Calculated powder diffraction line list
Compound: Sc5Si7Pt9
Radiation: Cu Kα, 1.54184 Å
Structure: the GGA-PBE geometry in Alexandria

Peak list (6 most intense, 2θ from 10° to 80°, sorted by position)
Position (°2θ)	d [Å]	intensity
17.71	5.007	27
27.21	3.278	27
35.74	2.512	100
44.20	2.049	22
45.60	1.990	23
47.97	1.896	25

Cell and atoms:
```
Sc5Si7Pt9
1.0
10.0139 0.0000 0.0000
-5.0069 8.6723 0.0000
0.0000 0.0000 3.9121
Sc Si Pt
5 7 9
Direct
0.0000 0.0000 0.0000
0.2080 0.7710 0.0000
0.2290 0.4370 0.0000
0.5630 0.7920 0.0000
0.6667 0.3333 0.5000
0.0190 0.2389 0.5000
0.2199 0.9810 0.5000
0.3333 0.6667 0.5000
0.4770 0.3835 0.0000
0.6165 0.0935 0.0000
0.7611 0.7801 0.5000
0.9065 0.5230 0.0000
0.0492 0.5053 0.5000
0.2510 0.2328 0.5000
0.3851 0.1159 0.0000
0.4561 0.9508 0.5000
0.4947 0.5439 0.5000
0.7308 0.6149 0.0000
0.7672 0.0182 0.5000
0.8841 0.2692 0.0000
0.9818 0.7490 0.5000
```

Calculated powder diffraction line list
Compound: Th2ScSi3Pt12
Radiation: Cu Kα, 1.54184 Å
Structure: the GGA-PBE geometry in Alexandria

Peak list (6 most intense, 2θ from 10° to 80°, sorted by position)
Position (°2θ)	d [Å]	intensity
31.81	2.813	100
43.84	2.065	50
47.33	1.921	35
55.18	1.665	19
66.48	1.406	11
73.00	1.296	15

Cell and atoms:
```
Th2ScSi3Pt12
1.0
4.1302 2.3846 6.0713
-4.1302 2.3846 6.0713
0.0000 -4.7692 6.0713
Th Sc Si Pt
2 1 3 12
Direct
0.1062 0.1062 0.1062
0.8938 0.8938 0.8938
0.5000 0.5000 0.5000
0.0000 0.5000 0.5000
0.5000 0.0000 0.5000
0.5000 0.5000 0.0000
0.1114 0.6399 0.6399
0.1462 0.1462 0.6031
0.1462 0.6031 0.1462
0.3601 0.3601 0.8886
0.3601 0.8886 0.3601
0.3969 0.8538 0.8538
0.6031 0.1462 0.1462
0.6399 0.1114 0.6399
0.6399 0.6399 0.1114
0.8538 0.3969 0.8538
0.8538 0.8538 0.3969
0.8886 0.3601 0.3601
```

Calculated powder diffraction line list
Compound: SmSc2Pt
Radiation: Cu Kα, 1.54184 Å
Structure: the GGA-PBE geometry in Alexandria

Peak list (6 most intense, 2θ from 10° to 80°, sorted by position)
Position (°2θ)	d [Å]	intensity
23.18	3.837	99
24.87	3.579	40
31.20	2.867	29
34.63	2.590	100
39.65	2.273	86
51.30	1.781	44

Cell and atoms:
```
SmSc2Pt
1.0
2.2728 1.3122 5.7332
-2.2728 1.3122 5.7332
0.0000 -2.6245 5.7332
Sm Sc Pt
1 2 1
Direct
0.0000 0.0000 0.0000
0.5512 0.5512 0.5512
0.7892 0.7892 0.7892
0.1773 0.1773 0.1773
```

Calculated powder diffraction line list
Compound: SmScPt
Radiation: Cu Kα, 1.54184 Å
Structure: the GGA-PBE geometry in Alexandria

Peak list (6 most intense, 2θ from 10° to 80°, sorted by position)
Position (°2θ)	d [Å]	intensity
24.73	3.600	36
31.29	2.859	69
34.51	2.599	100
38.28	2.351	34
42.92	2.107	36
43.54	2.079	36

Cell and atoms:
```
SmScPt
1.0
4.7028 0.0000 0.0000
0.0000 6.2288 3.6045
0.0000 -6.2288 3.6045
Sm Sc Pt
3 3 3
Direct
0.0000 0.0000 0.0000
0.0000 0.1815 0.5909
0.0000 0.5909 0.1815
0.5000 0.3347 0.3347
0.5000 0.5904 0.8469
0.5000 0.8469 0.5904
0.0000 0.5911 0.5911
0.5000 0.2569 0.9240
0.5000 0.9240 0.2569
```

Calculated powder diffraction line list
Compound: Sc3SnPt
Radiation: Cu Kα, 1.54184 Å
Structure: the GGA-PBE geometry in Alexandria

Peak list (6 most intense, 2θ from 10° to 80°, sorted by position)
Position (°2θ)	d [Å]	intensity
17.52	5.061	22
24.88	3.579	100
35.47	2.531	57
43.81	2.066	47
51.04	1.789	40
69.49	1.353	25

Cell and atoms:
```
Sc3SnPt
1.0
5.0613 0.0000 0.0000
0.0000 5.0613 0.0000
0.0000 0.0000 5.0613
Sc Sn Pt
3 1 1
Direct
0.0000 0.0000 0.5000
0.0000 0.5000 0.0000
0.5000 0.0000 0.0000
0.5000 0.5000 0.5000
0.0000 0.0000 0.0000
```